No. 1
The following is a theoretical X-ray powder pattern of La4Tb9Er11. It was derived from a DFT-relaxed cell (GGA-PBE, Alexandria), using Cu Kα, 1.54184 Å.
Intensities are scaled so that the largest is 100.

The 10 most intense peaks (2θ = 10–90°), by angle:
Position (°2θ), intensity, hkl
29.96, 15, 2 4 1
30.22, 56, 4 6 0
30.44, 13, 2 8 0
30.87, 13, 3 3 1
32.26, 100, 4 0 1
32.55, 8, 1 9 0
43.27, 11, 8 0 0
49.12, 16, 0 0 2
58.77, 17, 4 6 2
67.51, 8, 8 0 2

Structural model:
abc: 16.724 25.098 3.709
angles: 90.00 90.00 90.00
Space group Cmmm (No. 65)
Asymmetric unit:
La: 0.153 0.099 0.000
Tb: 0.000 0.000 0.000
Tb: 0.102 0.237 0.000
Tb: 0.137 0.426 0.000
Er: 0.000 0.140 0.500
Er: 0.000 0.340 0.500
Er: 0.000 0.500 0.500
Er: 0.222 0.000 0.500
Er: 0.226 0.319 0.500

No. 2
The following is a theoretical X-ray powder pattern of Na8In2Sn. It was derived from a DFT-relaxed cell (GGA-PBE, Alexandria), using Cu Kα, 1.54184 Å.
Intensities are scaled so that the largest is 100.

The 10 most intense peaks (2θ = 10–90°), by angle:
Position (°2θ), intensity, hkl
10.51, 100, 1 1 0
15.05, 49, 0 2 0
23.86, 13, 1 3 0
30.37, 31, 0 4 0
31.45, 23, 3 1 1
32.61, 26, 1 1 -2
34.06, 30, 4 2 -1
36.06, 21, 0 2 2
38.33, 12, 3 3 1
39.31, 18, 1 3 -2

Structural model:
abc: 12.378 11.770 5.648
angles: 90.00 103.45 90.00
Space group C2/m (No. 12)
Asymmetric unit:
Na: 0.090 0.000 0.300
Na: 0.093 0.260 0.801
Na: 0.237 0.000 0.881
In: 0.127 0.500 0.538
Sn: 0.000 0.500 0.000

No. 3
The following is a theoretical X-ray powder pattern of Ce2Dy3YEr6. It was derived from a DFT-relaxed cell (GGA-PBE, Alexandria), using Cu Kα, 1.54184 Å.
Intensities are scaled so that the largest is 100.

The 10 most intense peaks (2θ = 10–90°), by angle:
Position (°2θ), intensity, hkl
31.07, 100, 1 2 3
35.93, 34, 2 0 0
36.24, 17, 0 4 0
51.72, 12, 2 0 6
51.95, 24, 2 4 0
61.57, 28, 3 2 3
61.99, 14, 1 6 3
64.78, 12, 2 4 6
84.52, 6, 3 2 9
84.89, 12, 3 6 3

Structural model:
abc: 4.999 9.915 14.999
angles: 90.00 90.00 90.00
Space group Immm (No. 71)
Asymmetric unit:
Ce: 0.000 0.000 0.166
Dy: 0.000 0.500 0.167
Dy: 0.000 0.500 0.500
Y: 0.000 0.000 0.500
Er: 0.000 0.247 0.000
Er: 0.000 0.251 0.332

No. 4
The following is a theoretical X-ray powder pattern of Tm2HfSe2N2. It was derived from a DFT-relaxed cell (GGA-PBE, Alexandria), using Cu Kα, 1.54184 Å.
Intensities are scaled so that the largest is 100.

The 10 most intense peaks (2θ = 10–90°), by angle:
Position (°2θ), intensity, hkl
12.07, 25, 0 0 2
28.18, 18, 1 0 3
30.40, 90, 1 1 0
37.53, 100, 1 0 5
43.54, 40, 2 0 0
58.80, 54, 2 1 5
63.26, 13, 2 2 0
71.80, 16, 3 1 0
71.95, 10, 1 1 10
75.94, 13, 3 0 5

Structural model:
abc: 4.158 4.158 14.665
angles: 90.00 90.00 90.00
Space group I4/mmm (No. 139)
Asymmetric unit:
Tm: 0.000 0.000 0.110
Hf: 0.000 0.000 0.500
Se: 0.000 0.000 0.316
N: 0.000 0.500 0.000

No. 5
The following is a theoretical X-ray powder pattern of Mg14CoNi. It was derived from a DFT-relaxed cell (GGA-PBE, Alexandria), using Cu Kα, 1.54184 Å.
Intensities are scaled so that the largest is 100.

The 10 most intense peaks (2θ = 10–90°), by angle:
Position (°2θ), intensity, hkl
16.65, 12, 0 0 2
18.98, 17, 1 0 2
32.86, 23, 0 2 2
33.67, 16, 0 0 4
36.82, 28, 4 0 0
37.80, 100, 2 2 2
38.52, 37, 2 0 4
50.17, 13, 4 2 2
59.70, 13, 0 2 6
66.97, 11, 6 2 2

Structural model:
abc: 9.764 6.345 10.649
angles: 90.00 90.00 90.00
Space group Amm2 (No. 38)
Asymmetric unit:
Mg: 0.000 0.000 0.000
Mg: 0.000 0.000 0.499
Mg: 0.000 0.249 0.744
Mg: 0.252 0.000 0.327
Mg: 0.253 0.000 0.829
Mg: 0.296 0.250 0.068
Mg: 0.500 0.249 0.780
Co: 0.500 0.000 0.985
Ni: 0.500 0.000 0.483

No. 6
The following is a theoretical X-ray powder pattern of TmGaO3. It was derived from a DFT-relaxed cell (GGA-PBE, Alexandria), using Cu Kα, 1.54184 Å.
Intensities are scaled so that the largest is 100.

The 10 most intense peaks (2θ = 10–90°), by angle:
Position (°2θ), intensity, hkl
15.19, 28, 0 0 2
29.61, 38, 1 1 0
30.64, 57, 0 0 4
33.44, 100, 1 1 2
43.15, 29, 1 1 4
52.55, 36, 3 0 0
56.29, 24, 1 1 6
62.07, 29, 3 0 4
63.75, 20, 2 2 2
87.13, 22, 4 1 2

Structural model:
abc: 6.0330 6.0330 11.6645
angles: 90.00 90.00 120.00
Space group P6_3cm (No. 185)
Asymmetric unit:
Tm: 0.0000 0.0000 0.0000
Tm: 0.3333 0.6667 0.4588
Ga: 0.0000 0.3339 0.2258
O: 0.0000 0.0000 0.2016
O: 0.0000 0.3062 0.3900
O: 0.0000 0.3604 0.0630
O: 0.3333 0.6667 0.2465

No. 7
The following is a theoretical X-ray powder pattern of La2GeRhPb. It was derived from a DFT-relaxed cell (GGA-PBE, Alexandria), using Cu Kα, 1.54184 Å.
Intensities are scaled so that the largest is 100.

The 10 most intense peaks (2θ = 10–90°), by angle:
Position (°2θ), intensity, hkl
24.64, 43, 1 0 1
29.50, 100, 1 1 1
32.26, 86, 2 0 0
37.80, 28, 0 0 2
41.01, 23, 2 1 1
46.27, 32, 2 2 0
50.52, 49, 2 0 2
55.83, 34, 3 1 1
61.22, 27, 2 2 2
88.95, 20, 4 2 2

Structural model:
abc: 5.550 5.550 4.760
angles: 90.00 90.00 90.00
Space group P4/mmm (No. 123)
Asymmetric unit:
La: 0.000 0.500 0.000
Ge: 0.000 0.000 0.500
Rh: 0.000 0.000 0.000
Pb: 0.500 0.500 0.500

No. 8
The following is a theoretical X-ray powder pattern of Pr3HoEr7. It was derived from a DFT-relaxed cell (GGA-PBE, Alexandria), using Cu Kα, 1.54184 Å.
Intensities are scaled so that the largest is 100.

The 10 most intense peaks (2θ = 10–90°), by angle:
Position (°2θ), intensity, hkl
25.21, 20, 3 1 0
28.41, 15, 1 3 -1
30.63, 41, 2 0 -2
31.98, 15, 0 4 0
32.09, 18, 4 0 0
32.71, 100, 3 3 -1
40.07, 12, 1 1 2
44.89, 19, 2 0 2
55.78, 22, 5 3 -3
62.66, 10, 6 2 1

Structural model:
abc: 12.585 11.193 5.837
angles: 90.00 117.56 90.00
Space group C2/m (No. 12)
Asymmetric unit:
Pr: 0.000 0.000 0.000
Pr: 0.000 0.214 0.500
Ho: 0.000 0.500 0.000
Er: 0.000 0.500 0.500
Er: 0.207 0.000 0.706
Er: 0.207 0.197 0.207

No. 9
The following is a theoretical X-ray powder pattern of Na3AsS3. It was derived from a DFT-relaxed cell (GGA-PBE, Alexandria), using Cu Kα, 1.54184 Å.
Intensities are scaled so that the largest is 100.

The 10 most intense peaks (2θ = 10–90°), by angle:
Position (°2θ), intensity, hkl
14.31, 75, 0 0 2
17.73, 97, 2 0 1
24.55, 59, 2 1 0
29.59, 53, 1 1 3
32.77, 47, 3 0 3
32.88, 82, 2 1 3
37.12, 100, 0 2 0
37.25, 68, 1 0 5
37.77, 52, 4 1 0
50.87, 47, 3 0 6

Structural model:
abc: 10.940 4.844 12.375
angles: 90.00 90.00 90.00
Space group Pnma (No. 62)
Asymmetric unit:
Na: 0.039 0.250 0.102
Na: 0.156 0.750 0.496
Na: 0.239 0.750 0.788
As: 0.059 0.250 0.700
S: 0.008 0.250 0.332
S: 0.117 0.250 0.882
S: 0.245 0.250 0.620

No. 10
The following is a theoretical X-ray powder pattern of PuTcGe2Rh. It was derived from a DFT-relaxed cell (GGA-PBE, Alexandria), using Cu Kα, 1.54184 Å.
Intensities are scaled so that the largest is 100.

The 10 most intense peaks (2θ = 10–90°), by angle:
Position (°2θ), intensity, hkl
22.68, 24, 1 0 1
33.82, 67, 1 0 3
34.68, 100, 1 1 2
42.56, 52, 2 0 0
49.69, 21, 1 0 5
55.43, 33, 2 1 3
61.76, 17, 2 2 0
62.95, 19, 1 1 6
67.45, 17, 2 1 5
72.81, 23, 3 1 2

Structural model:
abc: 4.249 4.249 10.172
angles: 90.00 90.00 90.00
Space group I-4m2 (No. 119)
Asymmetric unit:
Pu: 0.000 0.000 0.000
Tc: 0.000 0.500 0.250
Ge: 0.000 0.000 0.373
Rh: 0.000 0.500 0.750

No. 11
The following is a theoretical X-ray powder pattern of MgU4Rh12. It was derived from a DFT-relaxed cell (GGA-PBE, Alexandria), using Cu Kα, 1.54184 Å.
Intensities are scaled so that the largest is 100.

The 10 most intense peaks (2θ = 10–90°), by angle:
Position (°2θ), intensity, hkl
21.53, 12, 2 0 0
30.63, 19, 2 2 0
37.74, 100, 2 2 2
43.86, 51, 4 0 0
49.36, 9, 4 2 0
63.77, 31, 4 4 0
72.39, 6, 6 2 0
76.54, 33, 6 2 2
80.62, 10, 4 4 4
88.65, 6, 6 4 2

Structural model:
abc: 8.257 8.257 8.257
angles: 90.00 90.00 90.00
Space group Im-3m (No. 229)
Asymmetric unit:
Mg: 0.000 0.000 0.000
U: 0.250 0.250 0.250
Rh: 0.000 0.000 0.288
Rh: 0.000 0.250 0.500

No. 12
The following is a theoretical X-ray powder pattern of Rb3Pd2Br9. It was derived from a DFT-relaxed cell (GGA-PBE, Alexandria), using Cu Kα, 1.54184 Å.
Intensities are scaled so that the largest is 100.

The 10 most intense peaks (2θ = 10–90°), by angle:
Position (°2θ), intensity, hkl
16.75, 26, 0 1 1
28.89, 21, 0 0 3
29.33, 62, 2 0 1
33.86, 100, 0 2 2
48.36, 35, 2 0 4
48.93, 35, 2 2 0
57.82, 16, 2 2 3
60.83, 18, 4 0 2
80.84, 14, 2 2 6
81.70, 15, 2 4 2

Structural model:
abc: 7.4465 7.4465 9.2708
angles: 90.00 90.00 120.00
Space group P-3m1 (No. 164)
Asymmetric unit:
Rb: 0.0000 0.0000 0.0000
Rb: 0.3333 0.6667 0.3435
Pd: 0.3333 0.6667 0.8326
Br: 0.0000 0.5000 0.0000
Br: 0.1712 0.3423 0.6790